# 1
This entry pairs a crystal structure of PmSc3Cu4 with its simulated powder XRD pattern. Radiation: Cu Ka. Structure: a DFT-relaxed cell (GGA-PBE, Alexandria).
Kinematic intensities with the Lorentz-polarization factor, no thermal factor.

Principal peaks in the range 10 to 80 degrees two-theta, by angle:
18.79°, I 7; 23.06°, I 8; 29.91°, I 9; 38.10°, I 100; 54.97°, I 16; 68.84°, I 30

Atomic structure:
Cell lengths 9.4470, 6.6838, 4.7234 Å; angles 90.00, 90.00, 90.00 degrees
Element x y z (fractional)
Pm 0.0000 0.0000 0.0000
Pm 0.5000 0.0000 0.0000
Sc 0.0000 0.5000 0.0000
Sc 0.2500 0.0000 0.4991
Sc 0.2500 0.5000 0.4974
Sc 0.5000 0.5000 0.0000
Sc 0.7500 0.0000 0.5009
Sc 0.7500 0.5000 0.5026
Cu 0.0000 0.2751 0.5000
Cu 0.0000 0.7249 0.5000
Cu 0.2500 0.2754 0.9958
Cu 0.2500 0.7246 0.9958
Cu 0.5000 0.2751 0.5000
Cu 0.5000 0.7249 0.5000
Cu 0.7500 0.2754 0.0042
Cu 0.7500 0.7246 0.0042



# 2
This entry pairs a crystal structure of Li7Y3Hg4 with its simulated powder XRD pattern. Radiation: Cu Ka. Structure: a DFT-relaxed cell (GGA-PBE, Alexandria).
Kinematic intensities with the Lorentz-polarization factor, no thermal factor.

Principal peaks in the range 10 to 80 degrees two-theta, by angle:
23.72°, I 41; 24.77°, I 100; 33.19°, I 27; 33.96°, I 41; 35.15°, I 43; 37.34°, I 25

Atomic structure:
Cell lengths 8.4584, 8.4584, 9.0317 Å; angles 122.24, 122.24, 33.09 degrees
Element x y z (fractional)
Li 0.0000 0.0000 0.0000
Li 0.1433 0.1433 0.3428
Li 0.3424 0.3424 0.1949
Li 0.4937 0.4937 0.1648
Li 0.5063 0.5063 0.8352
Li 0.6576 0.6576 0.8051
Li 0.8567 0.8567 0.6572
Y 0.0000 0.0000 0.5000
Y 0.2754 0.2754 0.7758
Y 0.7246 0.7246 0.2242
Hg 0.1384 0.1384 0.9355
Hg 0.3508 0.3508 0.4979
Hg 0.6492 0.6492 0.5021
Hg 0.8616 0.8616 0.0645



# 3
This entry pairs a crystal structure of Nd6TlSb2Se3 with its simulated powder XRD pattern. Radiation: Cu Ka. Structure: a DFT-relaxed cell (GGA-PBE, Alexandria).
Kinematic intensities with the Lorentz-polarization factor, no thermal factor.

Principal peaks in the range 10 to 80 degrees two-theta, by angle:
28.77°, I 100; 40.82°, I 13; 41.14°, I 50; 41.50°, I 12; 51.27°, I 13; 59.59°, I 13

Atomic structure:
Cell lengths 9.8122, 9.8122, 8.8429 Å; angles 102.87, 102.87, 25.62 degrees
Element x y z (fractional)
Nd 0.0029 0.0029 0.2403
Nd 0.3312 0.3312 0.4222
Nd 0.3346 0.3346 0.9120
Nd 0.6654 0.6654 0.0880
Nd 0.6688 0.6688 0.5778
Nd 0.9971 0.9971 0.7597
Tl 0.5000 0.5000 0.5000
Sb 0.1663 0.1663 0.8330
Sb 0.8337 0.8337 0.1670
Se 0.1682 0.1682 0.3333
Se 0.5000 0.5000 0.0000
Se 0.8318 0.8318 0.6667



# 4
This entry pairs a crystal structure of Na2AgH6Pd with its simulated powder XRD pattern. Radiation: Cu Ka. Structure: a DFT-relaxed cell (GGA-PBE, Alexandria).
Kinematic intensities with the Lorentz-polarization factor, no thermal factor.

Principal peaks in the range 10 to 80 degrees two-theta, by angle:
24.02°, I 54; 24.13°, I 27; 34.25°, I 100; 34.33°, I 50; 61.30°, I 26; 61.47°, I 26

Atomic structure:
Cell lengths 5.2240, 5.2240, 5.2357 Å; angles 119.98, 119.98, 89.80 degrees
Element x y z (fractional)
Na 0.2499 0.7501 0.0000
Na 0.7501 0.2499 0.0000
Ag 0.0000 0.0000 0.5000
H 0.2648 0.2648 0.4978
H 0.2658 0.7342 0.5000
H 0.2665 0.2665 0.0322
H 0.7335 0.7335 0.9678
H 0.7342 0.2658 0.5000
H 0.7352 0.7352 0.5022
Pd 0.5000 0.5000 0.5000



# 5
This entry pairs a crystal structure of V2Pd2Ru3 with its simulated powder XRD pattern. Radiation: Cu Ka. Structure: a DFT-relaxed cell (GGA-PBE, Alexandria).
Kinematic intensities with the Lorentz-polarization factor, no thermal factor.

Principal peaks in the range 10 to 80 degrees two-theta, by angle:
38.57°, I 29; 40.47°, I 100; 42.51°, I 62; 46.59°, I 27; 47.42°, I 59; 71.39°, I 33

Atomic structure:
Cell lengths 13.7128, 13.7128, 2.7200 Å; angles 90.00, 90.00, 168.63 degrees
Element x y z (fractional)
V 0.1374 0.8626 0.0000
V 0.8626 0.1374 0.0000
Pd 0.2946 0.7054 0.5000
Pd 0.7054 0.2946 0.5000
Ru 0.0000 0.0000 0.0000
Ru 0.4305 0.5695 0.5000
Ru 0.5695 0.4305 0.5000



# 6
This entry pairs a crystal structure of Cs2TlCdCl4 with its simulated powder XRD pattern. Radiation: Cu Ka. Structure: a DFT-relaxed cell (GGA-PBE, Alexandria).
Kinematic intensities with the Lorentz-polarization factor, no thermal factor.

Principal peaks in the range 10 to 80 degrees two-theta, by angle:
12.49°, I 43; 21.30°, I 100; 21.93°, I 27; 33.65°, I 34; 36.84°, I 35; 38.10°, I 26

Atomic structure:
Cell lengths 16.6917, 14.8622, 8.5812 Å; angles 86.42, 62.71, 30.87 degrees
Element x y z (fractional)
Cs 0.0390 0.0390 0.7110
Cs 0.2890 0.2890 0.9610
Cs 0.7110 0.7110 0.0390
Cs 0.9610 0.9610 0.2890
Tl 0.1250 0.1250 0.1250
Tl 0.8750 0.8750 0.8750
Cd 0.3750 0.3750 0.3750
Cd 0.6250 0.6250 0.6250
Cl 0.0436 0.3327 0.4394
Cl 0.3157 0.5606 0.6673
Cl 0.3327 0.0436 0.6843
Cl 0.4394 0.6843 0.0436
Cl 0.5606 0.3157 0.9564
Cl 0.6673 0.9564 0.3157
Cl 0.6843 0.4394 0.3327
Cl 0.9564 0.6673 0.5606



# 7
This entry pairs a crystal structure of LiMg2GaO4 with its simulated powder XRD pattern. Radiation: Cu Ka. Structure: a DFT-relaxed cell (GGA-PBE, Alexandria).
Kinematic intensities with the Lorentz-polarization factor, no thermal factor.

Principal peaks in the range 10 to 80 degrees two-theta, by angle:
21.69°, I 79; 34.08°, I 100; 45.08°, I 18; 56.36°, I 18; 57.59°, I 34; 67.53°, I 23

Atomic structure:
Cell lengths 5.5121, 5.5121, 5.5121 Å; angles 130.48, 130.48, 72.64 degrees
Element x y z (fractional)
Li 0.0000 0.0000 0.0000
Mg 0.2500 0.7500 0.5000
Mg 0.7500 0.2500 0.5000
Ga 0.5000 0.5000 0.0000
O 0.1424 0.6113 0.0000
O 0.3887 0.3887 0.5311
O 0.6113 0.1424 0.0000
O 0.8576 0.8576 0.4689



# 8
This entry pairs a crystal structure of BeAgBr4 with its simulated powder XRD pattern. Radiation: Cu Ka. Structure: a DFT-relaxed cell (GGA-PBE, Alexandria).
Kinematic intensities with the Lorentz-polarization factor, no thermal factor.

Principal peaks in the range 10 to 80 degrees two-theta, by angle:
12.34°, I 28; 19.25°, I 100; 31.61°, I 23; 35.39°, I 36; 40.59°, I 49; 54.94°, I 21

Atomic structure:
Cell lengths 7.1747, 7.1747, 9.2214 Å; angles 90.00, 90.00, 90.00 degrees
Element x y z (fractional)
Be 0.0000 0.5000 0.0000
Be 0.5000 0.0000 0.5000
Ag 0.0000 0.0000 0.0000
Ag 0.0000 0.0000 0.5000
Br 0.2290 0.2807 0.0000
Br 0.2290 0.7193 0.0000
Br 0.2807 0.2290 0.5000
Br 0.2807 0.7710 0.5000
Br 0.7193 0.2290 0.5000
Br 0.7193 0.7710 0.5000
Br 0.7710 0.2807 0.0000
Br 0.7710 0.7193 0.0000



# 9
This entry pairs a crystal structure of CuNi2Ag with its simulated powder XRD pattern. Radiation: Cu Ka. Structure: a DFT-relaxed cell (GGA-PBE, Alexandria).
Kinematic intensities with the Lorentz-polarization factor, no thermal factor.

Principal peaks in the range 10 to 80 degrees two-theta, by angle:
41.44°, I 31; 41.98°, I 28; 44.13°, I 100; 60.46°, I 17; 77.46°, I 17; 78.20°, I 14

Atomic structure:
Cell lengths 5.0186, 5.0186, 5.0186 Å; angles 148.02, 128.53, 61.89 degrees
Element x y z (fractional)
Cu 0.0000 0.0000 0.0000
Ni 0.2408 0.7408 0.5000
Ni 0.4693 0.4693 0.0000
Ag 0.7344 0.2344 0.5000



# 10
This entry pairs a crystal structure of Tm4BiH with its simulated powder XRD pattern. Radiation: Cu Ka. Structure: a DFT-relaxed cell (GGA-PBE, Alexandria).
Kinematic intensities with the Lorentz-polarization factor, no thermal factor.

Principal peaks in the range 10 to 80 degrees two-theta, by angle:
25.11°, I 36; 31.96°, I 72; 32.27°, I 75; 33.17°, I 100; 34.01°, I 31; 50.93°, I 24

Atomic structure:
Cell lengths 8.7096, 8.7096, 5.8537 Å; angles 105.07, 105.07, 124.69 degrees
Element x y z (fractional)
Tm 0.0718 0.6344 0.8533
Tm 0.1393 0.2681 0.6062
Tm 0.2681 0.1393 0.1062
Tm 0.3656 0.9282 0.6467
Tm 0.6344 0.0718 0.3533
Tm 0.7319 0.8607 0.8938
Tm 0.8607 0.7319 0.3938
Tm 0.9282 0.3656 0.1467
Bi 0.4018 0.5982 0.2500
Bi 0.5982 0.4018 0.7500
H 0.0213 0.9787 0.2500
H 0.9787 0.0213 0.7500



# 11
This entry pairs a crystal structure of LaSc4Ru with its simulated powder XRD pattern. Radiation: Cu Ka. Structure: a DFT-relaxed cell (GGA-PBE, Alexandria).
Kinematic intensities with the Lorentz-polarization factor, no thermal factor.

Principal peaks in the range 10 to 80 degrees two-theta, by angle:
18.60°, I 16; 30.61°, I 66; 36.05°, I 100; 54.40°, I 26; 58.01°, I 32; 63.72°, I 23

Atomic structure:
Cell lengths 5.8421, 5.8421, 5.8421 Å; angles 60.00, 60.00, 60.00 degrees
Element x y z (fractional)
La 0.0000 0.0000 0.0000
Sc 0.3765 0.3765 0.3765
Sc 0.3765 0.3765 0.8704
Sc 0.3765 0.8704 0.3765
Sc 0.8704 0.3765 0.3765
Ru 0.7500 0.7500 0.7500